[1]
GdMgTl: calculated powder diffractogram (Cu Kα (weighted mean of Kα1 and Kα2)), based on the PBE geometry in Alexandria.

The 10 most intense peaks (10° ≤ 2θ ≤ 90°), in order of falling intensity:
d = 2.702 Å, 33.16 deg, rel. 1000, (2 0 1); d = 2.202 Å, 40.99 deg, rel. 503, (3 0 0); d = 2.961 Å, 30.18 deg, rel. 471, (1 1 1); d = 3.809 Å, 23.35 deg, rel. 391, (1 1 0); d = 1.441 Å, 64.71 deg, rel. 261, (3 2 1); d = 2.354 Å, 38.23 deg, rel. 247, (0 0 2); d = 3.833 Å, 23.21 deg, rel. 243, (1 0 1); d = 1.607 Å, 57.33 deg, rel. 175, (3 0 2); d = 1.905 Å, 47.75 deg, rel. 168, (2 2 0); d = 1.481 Å, 62.75 deg, rel. 150, (2 2 2)

Atomic structure:
```
data_GdMgTl
_chemical_formula_sum 'Gd3 Mg3 Tl3'
_symmetry_space_group_name_H-M 'P 1'
_symmetry_Int_Tables_number 1
_cell_length_a 7.618
_cell_length_b 7.618
_cell_length_c 4.709
_cell_angle_alpha 90.00
_cell_angle_beta 90.00
_cell_angle_gamma 120.00
loop_
_symmetry_equiv_pos_as_xyz
'x,y,z'
loop_
_atom_site_label
_atom_site_fract_x
_atom_site_fract_y
_atom_site_fract_z
Gd1 0.000 0.429 0.000
Gd2 0.429 0.000 0.000
Gd3 0.571 0.571 0.000
Mg1 0.000 0.757 0.500
Mg2 0.243 0.243 0.500
Mg3 0.757 0.000 0.500
Tl1 0.000 0.000 0.000
Tl2 0.333 0.667 0.500
Tl3 0.667 0.333 0.500
```

***

[2]
SmGdMn2Ni8: calculated powder diffractogram (Cu Kα (weighted mean of Kα1 and Kα2)), based on the PBE geometry in Alexandria.

The 10 most intense peaks (10° ≤ 2θ ≤ 90°), in order of falling intensity:
d = 2.118 Å, 42.70 deg, rel. 1000, (1 2 0); d = 2.923 Å, 30.58 deg, rel. 538, (1 1 1); d = 2.173 Å, 41.57 deg, rel. 391, (0 2 2); d = 2.509 Å, 35.79 deg, rel. 313, (0 2 0); d = 1.975 Å, 45.95 deg, rel. 256, (2 0 0); d = 1.360 Å, 69.07 deg, rel. 225, (1 3 3); d = 1.461 Å, 63.67 deg, rel. 213, (2 2 2); d = 1.517 Å, 61.11 deg, rel. 152, (1 1 5); d = 1.552 Å, 59.57 deg, rel. 139, (2 2 0); d = 1.166 Å, 82.78 deg, rel. 134, (3 2 0)

Atomic structure:
```
data_SmGdMn2Ni8
_chemical_formula_sum 'Sm1 Gd1 Mn2 Ni8'
_symmetry_space_group_name_H-M 'P 1'
_symmetry_Int_Tables_number 1
_cell_length_a 3.950
_cell_length_b 5.021
_cell_length_c 8.684
_cell_angle_alpha 90.00
_cell_angle_beta 90.00
_cell_angle_gamma 90.00
loop_
_symmetry_equiv_pos_as_xyz
'x,y,z'
loop_
_atom_site_label
_atom_site_fract_x
_atom_site_fract_y
_atom_site_fract_z
Sm1 0.000 0.000 0.000
Gd1 0.000 0.500 0.501
Mn1 0.000 0.000 0.334
Mn2 0.000 0.500 0.832
Ni1 0.000 0.000 0.665
Ni2 0.000 0.500 0.168
Ni3 0.500 0.000 0.502
Ni4 0.500 0.248 0.747
Ni5 0.500 0.254 0.250
Ni6 0.500 0.500 0.002
Ni7 0.500 0.746 0.250
Ni8 0.500 0.752 0.747
```